Ba4C23: calculated PXRD pattern (Cu Kα (λ = 1.5418 Å)), based on the GGA-PBE geometry in Alexandria.
Kinematic intensities with the Lorentz-polarization factor, no thermal factor.

Cell and atoms:
```
data_Ba4C23
_space_group_name_H-M_alt 'P 1'
_space_group_IT_number 1
_cell_length_a 7.761
_cell_length_b 7.761
_cell_length_c 7.761
_cell_angle_alpha 90.00
_cell_angle_beta 90.00
_cell_angle_gamma 90.00
loop_
_space_group_symop_operation_xyz
'x,y,z'
loop_
_atom_site_label
_atom_site_fract_x
_atom_site_fract_y
_atom_site_fract_z
_atom_site_occupancy
Ba1 0.000 0.000 0.000 1
Ba2 0.000 0.250 0.500 1
Ba3 0.000 0.750 0.500 1
Ba4 0.250 0.500 0.000 1
Ba5 0.500 0.000 0.250 1
Ba6 0.500 0.000 0.750 1
Ba7 0.500 0.500 0.500 1
Ba8 0.750 0.500 0.000 1
C1 0.000 0.300 0.171 1
C2 0.000 0.300 0.829 1
C3 0.000 0.500 0.250 1
C4 0.000 0.500 0.750 1
C5 0.000 0.700 0.171 1
C6 0.000 0.700 0.829 1
C7 0.171 0.000 0.300 1
C8 0.171 0.000 0.700 1
C9 0.191 0.191 0.191 1
C10 0.191 0.191 0.809 1
C11 0.191 0.809 0.191 1
C12 0.191 0.809 0.809 1
C13 0.200 0.500 0.329 1
C14 0.200 0.500 0.671 1
C15 0.250 0.000 0.500 1
C16 0.300 0.171 0.000 1
C17 0.300 0.829 0.000 1
C18 0.309 0.309 0.309 1
C19 0.309 0.309 0.691 1
C20 0.309 0.691 0.309 1
C21 0.309 0.691 0.691 1
C22 0.329 0.200 0.500 1
C23 0.329 0.800 0.500 1
C24 0.500 0.250 0.000 1
C25 0.500 0.329 0.200 1
C26 0.500 0.329 0.800 1
C27 0.500 0.671 0.200 1
C28 0.500 0.671 0.800 1
C29 0.500 0.750 0.000 1
C30 0.671 0.200 0.500 1
C31 0.671 0.800 0.500 1
C32 0.691 0.309 0.309 1
C33 0.691 0.309 0.691 1
C34 0.691 0.691 0.309 1
C35 0.691 0.691 0.691 1
C36 0.700 0.171 0.000 1
C37 0.700 0.829 0.000 1
C38 0.750 0.000 0.500 1
C39 0.800 0.500 0.329 1
C40 0.800 0.500 0.671 1
C41 0.809 0.191 0.191 1
C42 0.809 0.191 0.809 1
C43 0.809 0.809 0.191 1
C44 0.809 0.809 0.809 1
C45 0.829 0.000 0.300 1
C46 0.829 0.000 0.700 1
```

Main lines, low angle first (15° ≤ 2θ ≤ 90°):
Position (°2θ)  Rel. int.
25.67  93
28.16  100
41.97  52
43.63  92
46.82  35
54.15  27
64.67  27
75.51  29